1.
The following is a theoretical powder XRD pattern of V4SnO12. It was derived from a DFT-relaxed cell (PBE+U, the Materials Project), using a wavelength of 1.5418 Å.
Peak positions follow from Bragg's law for the DFT cell and can differ from measured ones.

Top 12 peaks for 2θ = 10–90°, in order of rising 2θ:
- 13.29 deg, I = 43
- 15.85 deg, I = 37
- 18.04 deg, I = 79
- 19.34 deg, I = 63
- 19.50 deg, I = 24
- 23.14 deg, I = 46
- 25.11 deg, I = 29
- 27.60 deg, I = 100
- 29.31 deg, I = 69
- 32.01 deg, I = 43
- 34.56 deg, I = 29
- 44.20 deg, I = 25

Atomic structure:
Cell: 6.925 6.925 5.985 Å, 105.50 105.50 83.01°
Fractional positions:
V  0.024  0.384  0.989
V  0.198  0.198  0.476
V  0.616  0.976  0.011
V  0.802  0.802  0.524
Sn  0.329  0.671  0.500
O  0.039  0.230  0.199
O  0.039  0.686  0.558
O  0.061  0.239  0.696
O  0.200  0.563  0.144
O  0.314  0.961  0.442
O  0.367  0.381  0.555
O  0.437  0.800  0.856
O  0.501  0.197  0.054
O  0.619  0.633  0.445
O  0.761  0.939  0.304
O  0.770  0.961  0.801
O  0.803  0.499  0.946

***

2.
The following is a theoretical powder XRD pattern of SnW3O9. It was derived from a DFT-relaxed cell (PBE+U, the Materials Project), using a wavelength of 1.5418 Å.
Peak positions follow from Bragg's law for the DFT cell and can differ from measured ones.

Top 12 peaks for 2θ = 10–90°, in order of rising 2θ:
- 13.56 deg, I = 12
- 23.27 deg, I = 60
- 27.31 deg, I = 100
- 36.18 deg, I = 69
- 47.58 deg, I = 11
- 48.27 deg, I = 23
- 54.25 deg, I = 25
- 55.73 deg, I = 28
- 56.34 deg, I = 13
- 61.78 deg, I = 15
- 70.11 deg, I = 15
- 76.77 deg, I = 11

Atomic structure:
Cell: 7.544 7.544 7.645 Å, 90.00 90.00 59.93°
Fractional positions:
Sn  0.059  0.941  0.750
Sn  0.941  0.059  0.250
W  0.006  0.493  0.750
W  0.488  0.512  0.250
W  0.493  0.006  0.250
W  0.507  0.994  0.750
W  0.512  0.488  0.750
W  0.994  0.507  0.250
O  0.000  0.500  0.000
O  0.000  0.500  0.500
O  0.199  0.603  0.750
O  0.211  0.215  0.750
O  0.215  0.211  0.250
O  0.218  0.564  0.250
O  0.397  0.801  0.750
O  0.436  0.782  0.250
O  0.500  0.000  0.000
O  0.500  0.000  0.500
O  0.500  0.500  0.000
O  0.500  0.500  0.500
O  0.564  0.218  0.750
O  0.603  0.199  0.250
O  0.782  0.436  0.750
O  0.785  0.789  0.750
O  0.789  0.785  0.250
O  0.801  0.397  0.250

***

3.
The following is a theoretical powder XRD pattern of SnW3O9. It was derived from a DFT-relaxed cell (PBE+U, the Materials Project), using a wavelength of 1.5418 Å.
Peak positions follow from Bragg's law for the DFT cell and can differ from measured ones.

Top 12 peaks for 2θ = 10–90°, in order of rising 2θ:
- 13.44 deg, I = 16
- 23.04 deg, I = 87
- 27.03 deg, I = 99
- 27.13 deg, I = 46
- 35.83 deg, I = 100
- 47.09 deg, I = 16
- 47.87 deg, I = 21
- 53.60 deg, I = 14
- 53.77 deg, I = 23
- 55.13 deg, I = 28
- 55.72 deg, I = 16
- 61.09 deg, I = 16

Atomic structure:
Cell: 7.594 7.720 7.605 Å, 90.00 119.75 90.00°
Fractional positions:
Sn  0.056  0.250  0.496
Sn  0.944  0.750  0.504
W  0.004  0.750  0.003
W  0.493  0.750  0.503
W  0.497  0.250  0.997
W  0.503  0.750  0.003
W  0.507  0.250  0.497
W  0.996  0.250  0.997
O  0.000  0.000  0.000
O  0.000  0.500  0.000
O  0.197  0.250  0.298
O  0.202  0.250  0.920
O  0.203  0.750  0.914
O  0.215  0.750  0.282
O  0.394  0.250  0.692
O  0.429  0.750  0.710
O  0.500  0.000  0.000
O  0.500  0.000  0.500
O  0.500  0.500  0.000
O  0.500  0.500  0.500
O  0.571  0.250  0.290
O  0.606  0.750  0.308
O  0.785  0.250  0.718
O  0.797  0.250  0.086
O  0.798  0.750  0.080
O  0.803  0.750  0.702

***

4.
The following is a theoretical powder XRD pattern of SnW2O8. It was derived from a DFT-relaxed cell (PBE+U, the Materials Project), using a wavelength of 1.5418 Å.
Peak positions follow from Bragg's law for the DFT cell and can differ from measured ones.

Top 12 peaks for 2θ = 10–90°, in order of rising 2θ:
- 18.52 deg, I = 60
- 19.59 deg, I = 27
- 23.09 deg, I = 56
- 23.95 deg, I = 65
- 29.57 deg, I = 100
- 29.96 deg, I = 99
- 35.23 deg, I = 80
- 40.24 deg, I = 23
- 50.27 deg, I = 33
- 52.19 deg, I = 24
- 52.68 deg, I = 29
- 62.67 deg, I = 26

Atomic structure:
Cell: 5.096 5.884 10.775 Å, 90.00 117.23 90.00°
Fractional positions:
Sn  0.000  0.161  0.250
Sn  0.000  0.839  0.750
W  0.227  0.331  0.991
W  0.227  0.669  0.491
W  0.773  0.331  0.509
W  0.773  0.669  0.009
O  0.169  0.396  0.610
O  0.169  0.604  0.110
O  0.220  0.156  0.132
O  0.220  0.844  0.632
O  0.248  0.105  0.880
O  0.248  0.895  0.380
O  0.321  0.393  0.395
O  0.321  0.607  0.895
O  0.679  0.393  0.105
O  0.679  0.607  0.605
O  0.752  0.105  0.620
O  0.752  0.895  0.120
O  0.780  0.156  0.368
O  0.780  0.844  0.868
O  0.831  0.396  0.890
O  0.831  0.604  0.390

***

Number 1 is which compound?
V4SnO12